Diffraction record for ErAl3. The X-ray powder pattern is simulated, not measured: it uses a structure optimized by DFT (PBE) and Cu Kα X-rays.

Cell and atoms:
a = 6.0609 Å, b = 6.0609 Å, c = 35.9328 Å
α = 90.00°, β = 90.00°, γ = 120.00°
Space group R-3m (No. 166, hexagonal axes)
Unique sites:
Er1 0.0000 0.0000 0.0000 x3
Er2 0.0000 0.0000 0.1312 x6
Er3 0.0000 0.0000 0.4000 x6
Al1 0.0000 0.5000 0.0000 x9
Al2 0.0028 0.5014 0.8663 x18
Al3 0.0328 0.5164 0.3996 x18

Main lines, by angle (2θ = 10–80°):
| hkl | Position (°2θ) | I_rel |
| --- | --- | --- |
| 1 0 4 | 19.6 | 65 |
| 0 1 5 | 21.0 | 31 |
| 1 0 7 | 24.3 | 78 |
| 0 1 8 | 26.1 | 72 |
| 1 1 0 | 29.5 | 100 |
| 0 2 4 | 35.6 | 50 |
| 0 0 15 | 37.5 | 55 |
| 0 2 7 | 38.5 | 70 |
| 2 0 8 | 39.8 | 69 |
| 1 1 15 | 48.4 | 51 |
| 2 2 0 | 61.2 | 38 |
| 2 2 15 | 74.0 | 43 |